No. 1
Starting from a cell relaxed with PBE, the powder X-ray diffraction pattern of Cu3Ag4 was computed for a wavelength of 1.5418 Å.

The 10 most intense peaks (2θ = 15–90°), by intensity:
two_theta  d/Å  I/Imax  h k l
39.51  2.281  100  2 0 3
45.28  2.003  45  3 1 1
39.70  2.270  32  4 0 -1
47.43  1.917  18  2 0 -4
79.61  1.204  15  2 2 3
67.50  1.388  12  1 1 5
67.82  1.382  11  5 1 -3
79.75  1.202  8  4 2 -1
79.93  1.200  7  7 1 0
65.89  1.418  7  0 2 0

Cell lengths 9.294, 2.835, 8.188 Å; angles 90.00, 93.80, 90.00 degrees
Space group C2/m (No. 12)
Inequivalent atoms, fractional coordinates:
1 Cu 0.000 0.000 0.000 [2 per cell]
2 Cu 0.153 0.000 0.566 [4 per cell]
3 Ag 0.065 0.500 0.298 [4 per cell]
4 Ag 0.212 0.500 0.853 [4 per cell]


No. 2
Starting from a cell relaxed with PBE, the powder X-ray diffraction pattern of Cu10Te was computed for a wavelength of 1.5418 Å.

The 10 most intense peaks (2θ = 15–90°), by intensity:
two_theta  d/Å  I/Imax  h k l
42.46  2.129  100  1 1 0
43.12  2.098  59  0 1 16
49.00  1.859  40  1 0 16
51.44  1.776  28  0 2 0
44.99  2.015  23  0 1 17
73.77  1.284  21  1 2 16
50.70  1.801  16  1 0 17
86.67  1.123  14  2 1 16
88.00  1.110  11  2 1 17
70.85  1.330  10  2 0 0

Cell lengths 2.660, 3.553, 41.591 Å; angles 90.00, 90.00, 90.00 degrees
Space group Pmmn (No. 59, origin choice 2)
Inequivalent atoms, fractional coordinates:
1 Cu 0.250 0.250 0.015 [2 per cell]
2 Cu 0.250 0.250 0.076 [2 per cell]
3 Cu 0.250 0.250 0.136 [2 per cell]
4 Cu 0.250 0.250 0.197 [2 per cell]
5 Cu 0.250 0.250 0.258 [2 per cell]
6 Cu 0.250 0.250 0.711 [2 per cell]
7 Cu 0.250 0.250 0.772 [2 per cell]
8 Cu 0.250 0.250 0.833 [2 per cell]
9 Cu 0.250 0.250 0.894 [2 per cell]
10 Cu 0.250 0.250 0.954 [2 per cell]
11 Te 0.250 0.250 0.333 [2 per cell]


No. 3
Starting from a cell relaxed with PBE, the powder X-ray diffraction pattern of PmGaIr was computed for a wavelength of 1.5418 Å.

The 10 most intense peaks (2θ = 15–90°), by intensity:
two_theta  d/Å  I/Imax  h k l
33.77  2.654  100  2 1 1
39.14  2.301  40  3 0 1
39.33  2.291  35  0 2 0
42.10  2.146  34  0 1 3
56.70  1.624  27  3 2 1
67.47  1.388  24  3 1 4
26.04  3.423  23  1 1 1
34.85  2.574  17  2 0 2
67.77  1.383  13  2 3 1
40.18  2.244  13  2 1 2

Cell lengths 7.273, 4.582, 7.288 Å; angles 90.00, 90.00, 90.00 degrees
Space group Pnma (No. 62)
Inequivalent atoms, fractional coordinates:
1 Pm 0.023 0.250 0.191 [4 per cell]
2 Ga 0.193 0.250 0.605 [4 per cell]
3 Ir 0.161 0.750 0.431 [4 per cell]


No. 4
Starting from a cell relaxed with PBE, the powder X-ray diffraction pattern of UPa3N6 was computed for a wavelength of 1.5418 Å.

The 10 most intense peaks (2θ = 15–90°), by intensity:
two_theta  d/Å  I/Imax  h k l
29.74  3.004  100  1 1 0
29.99  2.979  92  1 0 4
52.94  1.730  42  2 1 4
42.74  2.115  39  0 2 4
52.78  1.735  25  3 0 0
70.16  1.341  17  1 3 4
48.26  1.886  15  2 -1 6
53.41  1.715  15  0 1 8
61.75  1.502  14  2 2 0
70.57  1.335  12  1 2 8

Cell lengths 6.0087, 6.0087, 14.5349 Å; angles 90.00, 90.00, 120.00 degrees
Space group R3 (No. 146, hexagonal axes)
Inequivalent atoms, fractional coordinates:
1 U 0.0000 0.0000 0.0000 [3 per cell]
2 Pa 0.0000 0.0000 0.2250 [3 per cell]
3 Pa 0.0000 0.0000 0.5012 [3 per cell]
4 Pa 0.0000 0.0000 0.7247 [3 per cell]
5 N 0.0019 0.7168 0.1130 [9 per cell]
6 N 0.0028 0.2878 0.6128 [9 per cell]


No. 5
Starting from a cell relaxed with PBE, the powder X-ray diffraction pattern of TbDy2Zn4Si4 was computed for a wavelength of 1.5418 Å.

The 10 most intense peaks (2θ = 15–90°), by intensity:
two_theta  d/Å  I/Imax  h k l
34.49  2.600  100  1 1 4
33.89  2.645  39  1 0 7
24.30  3.663  26  0 1 3
44.23  2.048  21  0 2 0
46.28  1.962  21  0 1 11
45.08  2.011  18  2 0 0
56.86  1.619  18  1 2 7
66.60  1.404  14  2 1 11
65.00  1.435  13  2 2 0
29.06  3.072  12  0 0 8

Cell lengths 4.022, 4.096, 24.580 Å; angles 90.00, 90.00, 90.00 degrees
Space group Immm (No. 71)
Inequivalent atoms, fractional coordinates:
1 Tb 0.000 0.000 0.000 [2 per cell]
2 Dy 0.000 0.500 0.144 [4 per cell]
3 Zn 0.000 0.000 0.250 [4 per cell]
4 Zn 0.000 0.500 0.406 [4 per cell]
5 Si 0.000 0.000 0.453 [4 per cell]
6 Si 0.000 0.500 0.311 [4 per cell]


No. 6
Starting from a cell relaxed with PBE, the powder X-ray diffraction pattern of Pr3Co4Sn13 was computed for a wavelength of 1.5418 Å.

The 10 most intense peaks (2θ = 15–90°), by intensity:
two_theta  d/Å  I/Imax  h k l
33.45  2.679  100  3 2 0
34.76  2.581  36  3 2 1
37.24  2.414  18  4 0 0
58.95  1.567  18  5 3 2
55.48  1.656  14  4 3 3
38.43  2.342  12  4 1 0
46.04  1.971  12  4 2 2
67.94  1.380  11  6 3 2
88.93  1.101  9  6 5 4
63.94  1.456  9  6 2 2

Cell lengths 9.658, 9.658, 9.658 Å; angles 90.00, 90.00, 90.00 degrees
Space group Pm-3n (No. 223)
Inequivalent atoms, fractional coordinates:
1 Pr 0.000 0.250 0.500 [6 per cell]
2 Co 0.250 0.250 0.250 [8 per cell]
3 Sn 0.000 0.000 0.000 [2 per cell]
4 Sn 0.000 0.302 0.158 [24 per cell]


No. 7
Starting from a cell relaxed with PBE, the powder X-ray diffraction pattern of Rb2H6IrAu was computed for a wavelength of 1.5418 Å.

The 10 most intense peaks (2θ = 15–90°), by intensity:
two_theta  d/Å  I/Imax  h k l
32.66  2.742  100  1 1 1
28.28  3.155  36  0 2 0
28.48  3.134  36  2 0 -2
40.57  2.224  28  2 2 -2
52.91  1.731  26  1 3 1
53.14  1.724  25  3 1 -1
19.96  4.447  25  1 1 -1
60.79  1.524  13  2 0 2
68.44  1.371  12  2 2 2
68.83  1.364  12  3 3 -1

Cell lengths 6.268, 6.311, 9.366 Å; angles 90.00, 131.97, 90.00 degrees
Space group P2_1/c (No. 14)
Inequivalent atoms, fractional coordinates:
1 Rb 0.250 0.000 0.250 [4 per cell]
2 H 0.192 0.191 0.500 [4 per cell]
3 H 0.192 0.691 0.000 [4 per cell]
4 H 0.251 0.002 0.750 [4 per cell]
5 Ir 0.000 0.000 0.500 [2 per cell]
6 Au 0.500 0.000 0.000 [2 per cell]


No. 8
Starting from a cell relaxed with PBE, the powder X-ray diffraction pattern of Er2H8S3O16 was computed for a wavelength of 1.5418 Å.

The 10 most intense peaks (2θ = 15–90°), by intensity:
two_theta  d/Å  I/Imax  h k l
21.36  4.159  100  0 2 -1
19.92  4.457  86  1 -1 1
19.44  4.566  85  1 0 -2
27.80  3.209  66  -2 1 1
22.41  3.967  60  0 1 2
24.10  3.693  58  -1 2 1
31.82  2.812  58  2 1 -2
28.14  3.171  48  0 1 -3
33.14  2.703  42  2 0 1
19.23  4.616  42  1 1 0

Cell lengths 6.585, 8.791, 10.220 Å; angles 95.37, 107.22, 98.81 degrees
Space group P-1 (No. 2)
Inequivalent atoms, fractional coordinates:
1 Er 0.061 0.367 0.326 [2 per cell]
2 Er 0.260 0.163 0.864 [2 per cell]
3 H 0.169 0.065 0.368 [2 per cell]
4 H 0.185 0.416 0.026 [2 per cell]
5 H 0.295 0.499 0.924 [2 per cell]
6 H 0.298 0.088 0.157 [2 per cell]
7 H 0.302 0.933 0.655 [2 per cell]
8 H 0.395 0.184 0.437 [2 per cell]
9 H 0.479 0.230 0.156 [2 per cell]
10 H 0.481 0.084 0.667 [2 per cell]
11 S 0.153 0.777 0.412 [2 per cell]
12 S 0.154 0.795 0.980 [2 per cell]
13 S 0.392 0.488 0.685 [2 per cell]
14 O 0.015 0.640 0.910 [2 per cell]
15 O 0.026 0.892 0.344 [2 per cell]
16 O 0.069 0.626 0.322 [2 per cell]
17 O 0.069 0.867 0.083 [2 per cell]
18 O 0.122 0.770 0.551 [2 per cell]
19 O 0.147 0.888 0.862 [2 per cell]
20 O 0.251 0.170 0.366 [2 per cell]
21 O 0.263 0.476 0.538 [2 per cell]
22 O 0.286 0.407 0.971 [2 per cell]
23 O 0.307 0.601 0.766 [2 per cell]
24 O 0.355 0.150 0.097 [2 per cell]
25 O 0.368 0.335 0.731 [2 per cell]
26 O 0.374 0.773 0.047 [2 per cell]
27 O 0.380 0.449 0.293 [2 per cell]
28 O 0.385 0.832 0.434 [2 per cell]
29 O 0.397 0.025 0.718 [2 per cell]


No. 9
Starting from a cell relaxed with PBE, the powder X-ray diffraction pattern of ErScInNi2 was computed for a wavelength of 1.5418 Å.

The 10 most intense peaks (2θ = 15–90°), by intensity:
two_theta  d/Å  I/Imax  h k l
35.27  2.545  100  1 1 1
39.88  2.261  66  0 1 5
36.16  2.484  59  1 0 4
61.28  1.513  34  1 2 4
30.25  2.955  33  0 1 3
47.68  1.907  23  0 2 0
47.84  1.901  20  1 1 5
38.54  2.336  19  0 0 6
51.92  1.761  18  2 0 0
28.36  3.147  17  1 0 2

Cell lengths 3.522, 3.814, 14.014 Å; angles 90.00, 90.00, 90.00 degrees
Space group Amm2 (No. 38)
Inequivalent atoms, fractional coordinates:
1 Er 0.000 0.000 0.000 [2 per cell]
2 Sc 0.000 0.000 0.279 [2 per cell]
3 In 0.500 0.000 0.643 [2 per cell]
4 Ni 0.500 0.000 0.440 [2 per cell]
5 Ni 0.500 0.000 0.834 [2 per cell]


No. 10
Starting from a cell relaxed with PBE, the powder X-ray diffraction pattern of Hf2O5 was computed for a wavelength of 1.5418 Å.

The 10 most intense peaks (2θ = 15–90°), by intensity:
two_theta  d/Å  I/Imax  h k l
16.26  5.452  100  0 2 0
29.96  2.982  88  1 3 0
18.86  4.706  76  1 1 0
29.16  3.063  53  0 0 1
34.81  2.578  45  2 0 -1
47.29  1.922  36  1 3 1
36.78  2.443  35  1 3 -1
50.17  1.818  28  0 6 0
34.38  2.608  26  2 0 0
54.97  1.670  22  3 3 -1

Cell lengths 5.724, 10.905, 3.361 Å; angles 90.00, 114.32, 90.00 degrees
Space group Cm (No. 8)
Inequivalent atoms, fractional coordinates:
1 Hf 0.000 0.177 0.000 [4 per cell]
2 O 0.243 0.330 0.313 [4 per cell]
3 O 0.258 0.169 0.694 [4 per cell]
4 O 0.485 0.500 0.010 [2 per cell]


No. 11
Starting from a cell relaxed with PBE, the powder X-ray diffraction pattern of HfZr2Sb4Pd4 was computed for a wavelength of 1.5418 Å.

The 10 most intense peaks (2θ = 15–90°), by intensity:
two_theta  d/Å  I/Imax  h k l
39.89  2.260  100  0 1 3
43.12  2.098  72  0 2 0
35.52  2.527  68  2 1 -1
33.77  2.654  64  2 1 0
35.71  2.515  49  2 1 1
33.42  2.682  42  1 1 -2
42.22  2.141  24  1 1 3
40.91  2.206  24  3 0 -1
17.08  5.191  20  1 0 1
34.56  2.596  20  2 0 2

Cell lengths 6.856, 4.195, 8.048 Å; angles 90.00, 90.61, 90.00 degrees
Space group Pm (No. 6)
Inequivalent atoms, fractional coordinates:
1 Hf 0.000 0.000 0.000 [1 per cell]
2 Zr 0.437 0.500 0.500 [1 per cell]
3 Zr 0.924 0.500 0.607 [1 per cell]
4 Sb 0.213 0.000 0.679 [1 per cell]
5 Sb 0.254 0.500 0.183 [1 per cell]
6 Sb 0.700 0.000 0.400 [1 per cell]
7 Sb 0.707 0.500 0.926 [1 per cell]
8 Pd 0.100 0.000 0.358 [1 per cell]
9 Pd 0.310 0.500 0.864 [1 per cell]
10 Pd 0.620 0.000 0.735 [1 per cell]
11 Pd 0.852 0.500 0.235 [1 per cell]